Structure and simulated powder diffraction line list of MgMn6O4F8 (a PBE+U-relaxed structure; Cu Kα, 1.54184 Å).

Structure:
```
data_MgMn6O4F8
_cell_length_a 5.3061
_cell_length_b 5.7494
_cell_length_c 7.9645
_cell_angle_alpha 89.59
_cell_angle_beta 85.49
_cell_angle_gamma 84.41
_space_group_name_H-M_alt 'P 1'
_space_group_IT_number 1
loop_
_space_group_symop_operation_xyz
'x,y,z'
loop_
_atom_site_label
_atom_site_type_symbol
_atom_site_fract_x
_atom_site_fract_y
_atom_site_fract_z
_atom_site_occupancy
Mg1 Mg 0.0000 0.0000 0.0000 1
Mn1 Mn 0.0004 0.4348 0.1776 1
Mn2 Mn 0.4312 0.5665 0.5263 1
Mn3 Mn 0.4955 0.8764 0.2051 1
Mn4 Mn 0.5338 0.1186 0.8280 1
Mn5 Mn 0.7901 0.5646 0.8072 1
Mn6 Mn 0.9882 0.0712 0.5196 1
O1 O 0.2760 0.8328 0.4270 1
O2 O 0.6800 0.3397 0.6411 1
O3 O 0.7045 0.8271 0.9636 1
O4 O 0.8060 0.3297 0.9706 1
F1 F 0.1686 0.0379 0.7667 1
F2 F 0.1876 0.5533 0.7244 1
F3 F 0.1911 0.3440 0.4015 1
F4 F 0.1940 0.7120 0.0814 1
F5 F 0.2931 0.1650 0.0731 1
F6 F 0.6790 0.5652 0.3228 1
F7 F 0.7138 0.8179 0.6336 1
F8 F 0.8380 0.0613 0.2586 1
```

Most intense lines, 2θ = 10–90°, in order of rising 2θ:
- 3.719 Å, intensity 60, hkl 1 1 1
- 3.286 Å, intensity 100, hkl -1 1 1
- 2.934 Å, intensity 28, hkl 1 1 2
- 2.784 Å, intensity 52, hkl 1 -1 2
- 2.762 Å, intensity 32, hkl 1 1 -2
- 2.692 Å, intensity 34, hkl 0 2 -1
- 2.422 Å, intensity 26, hkl 2 1 1
- 1.945 Å, intensity 33, hkl 2 0 3
- 1.859 Å, intensity 26, hkl 2 2 2
- 1.632 Å, intensity 27, hkl 0 2 -4